Starting from a PBE-relaxed structure, the powder diffractogram of Li2SbPCO7 was calculated for λ = 1.5418 Å (Cu Kα).

Most intense lines, 15 to 90 degrees two-theta, by angle:
2θ/deg	intensity
16.3	43
17.3	39
19.2	64
21.9	34
25.0	29
26.6	100
28.3	26
33.0	20
36.8	20
41.4	28

Structural model:
```
Li2SbPCO7
1.0
5.1232 0.0000 0.0000
0.0000 6.7014 0.0000
-0.6166 0.0000 9.3437
Li Sb P C O
4 2 2 2 14
Direct
0.2332 0.0502 0.2049
0.2332 0.4498 0.2049
0.7668 0.5502 0.7951
0.7668 0.9498 0.7951
0.1662 0.2500 0.6321
0.8338 0.7500 0.3679
0.2478 0.7500 0.6292
0.7522 0.2500 0.3708
0.1740 0.2500 0.9152
0.8260 0.7500 0.0848
0.0414 0.7500 0.1774
0.0893 0.5661 0.6795
0.0893 0.9339 0.6795
0.1510 0.2500 0.0478
0.2323 0.7500 0.4601
0.3925 0.2500 0.8524
0.4692 0.2500 0.3112
0.5308 0.7500 0.6888
0.6075 0.7500 0.1476
0.7677 0.2500 0.5399
0.8490 0.7500 0.9522
0.9107 0.0661 0.3205
0.9107 0.4339 0.3205
0.9586 0.2500 0.8226
```

Starting from a PBE-relaxed structure, the powder diffractogram of Li2SbPCO7 was calculated for λ = 1.5418 Å (Cu Kα).

Most intense lines, 15 to 90 degrees two-theta, by angle:
2θ/deg	intensity
16.2	78
18.0	72
21.1	60
21.6	69
24.0	33
25.0	100
32.0	28
33.7	42
35.0	33
41.8	31

Structural model:
```
Li2SbPCO7
1.0
5.3470 0.0000 0.0000
0.0000 7.1129 0.0000
-1.7475 0.0000 8.5890
Li Sb P C O
4 2 2 2 14
Direct
0.2149 0.0000 0.1225
0.2259 0.6422 0.6821
0.7741 0.1422 0.3179
0.7851 0.5000 0.8775
0.1910 0.5047 0.2921
0.8090 0.0047 0.7079
0.2906 0.9470 0.4221
0.7094 0.4470 0.5779
0.3334 0.5297 0.0147
0.6666 0.0297 0.9853
0.0951 0.5672 0.0169
0.1562 0.1138 0.3276
0.1775 0.8777 0.5567
0.2767 0.7881 0.2914
0.4169 0.4964 0.5225
0.4297 0.5435 0.8948
0.4748 0.4764 0.1515
0.5252 0.9764 0.8485
0.5703 0.0435 0.1052
0.5831 0.9964 0.4775
0.7233 0.2881 0.7086
0.8225 0.3777 0.4433
0.8438 0.6138 0.6724
0.9049 0.0672 0.9831
```

Starting from a PBE-relaxed structure, the powder diffractogram of LiTiPCO7 was calculated for λ = 1.5418 Å (Cu Kα).

Most intense lines, 15 to 90 degrees two-theta, by angle:
2θ/deg	intensity
17.4	37
19.0	46
21.4	100
23.6	13
25.5	39
27.8	89
35.1	26
41.1	18
43.7	14
58.5	12

Structural model:
```
LiTiPCO7
1.0
5.1881 0.0000 0.0000
0.0000 6.4163 0.0000
-1.1237 0.0000 8.4105
Li Ti P C O
2 2 2 2 14
Direct
0.1764 0.2500 0.0987
0.8236 0.7500 0.9013
0.2201 0.7500 0.3208
0.7799 0.2500 0.6792
0.2369 0.2500 0.4202
0.7631 0.7500 0.5798
0.3741 0.7500 0.0576
0.6259 0.2500 0.9424
0.0578 0.2500 0.5494
0.1204 0.7500 0.0787
0.1904 0.0600 0.3073
0.1904 0.4400 0.3073
0.4525 0.7500 0.9258
0.4760 0.7500 0.5003
0.4778 0.2500 0.8046
0.5222 0.7500 0.1954
0.5240 0.2500 0.4997
0.5475 0.2500 0.0742
0.8096 0.5600 0.6927
0.8096 0.9400 0.6927
0.8796 0.2500 0.9213
0.9422 0.7500 0.4506
```

Starting from a PBE-relaxed structure, the powder diffractogram of Li3YbPCO7 was calculated for λ = 1.5418 Å (Cu Kα).

Most intense lines, 15 to 90 degrees two-theta, by angle:
2θ/deg	intensity
16.6	100
17.4	81
20.2	53
20.6	22
23.8	28
26.1	35
26.5	48
31.9	28
33.5	19
41.5	21

Structural model:
```
Li3YbPCO7
1.0
5.0902 0.0000 0.0000
0.0000 6.7328 0.0000
-0.4688 0.0000 8.7938
Li Yb P C O
6 2 2 2 14
Direct
0.0187 0.0000 0.4872
0.4042 0.9695 0.0458
0.4702 0.8405 0.6576
0.5298 0.3405 0.3424
0.5958 0.4695 0.9542
0.9813 0.5000 0.5128
0.0522 0.2034 0.7982
0.9478 0.7034 0.2018
0.0107 0.7402 0.8048
0.9893 0.2402 0.1952
0.4528 0.7310 0.3563
0.5472 0.2310 0.6437
0.0847 0.5431 0.7278
0.1451 0.3811 0.3095
0.1576 0.1965 0.0567
0.2666 0.7648 0.4478
0.2677 0.8552 0.8544
0.3313 0.1437 0.5947
0.4234 0.7755 0.2112
0.5766 0.2755 0.7888
0.6687 0.6437 0.4053
0.7323 0.3552 0.1456
0.7334 0.2648 0.5522
0.8424 0.6965 0.9433
0.8549 0.8811 0.6905
0.9153 0.0431 0.2722
```

Starting from a PBE-relaxed structure, the powder diffractogram of Li3ZnPCO7 was calculated for λ = 1.5418 Å (Cu Kα).

Most intense lines, 15 to 90 degrees two-theta, by angle:
2θ/deg	intensity
17.2	46
17.5	91
20.1	22
21.0	46
27.0	24
27.3	100
27.9	23
35.3	28
36.0	17
39.6	23

Structural model:
```
Li3ZnPCO7
1.0
5.0825 0.0000 0.0000
0.0000 6.5229 0.0000
-0.2556 0.0000 8.4452
Li Zn P C O
6 2 2 2 14
Direct
0.0493 0.0000 0.0028
0.4181 0.3098 0.8107
0.4445 0.1297 0.4696
0.5555 0.6297 0.5304
0.5819 0.8098 0.1893
0.9507 0.5000 0.9972
0.0474 0.7771 0.7150
0.9526 0.2771 0.2850
0.0402 0.7744 0.3369
0.9598 0.2744 0.6631
0.4595 0.2895 0.1246
0.5405 0.7895 0.8754
0.0477 0.0868 0.7651
0.0723 0.4599 0.7610
0.1026 0.2600 0.5025
0.2069 0.2717 0.0927
0.3409 0.7945 0.3681
0.3830 0.8254 0.9885
0.4534 0.7682 0.7300
0.5466 0.2682 0.2700
0.6170 0.3254 0.0115
0.6591 0.2945 0.6319
0.7931 0.7717 0.9073
0.8974 0.7600 0.4975
0.9277 0.9599 0.2390
0.9523 0.5868 0.2349
```

Starting from a PBE-relaxed structure, the powder diffractogram of Li2PuCO6 was calculated for λ = 1.5418 Å (Cu Kα).

Most intense lines, 15 to 90 degrees two-theta, by angle:
2θ/deg	intensity
19.1	36
19.7	100
24.4	42
31.1	48
33.7	18
39.9	19
40.2	34
46.3	13
49.2	24
60.0	13

Structural model:
```
Li2PuCO6
1.0
5.1608 0.0000 0.0000
0.0000 5.1712 0.0000
0.0000 0.0000 9.3063
Li Pu C O
4 2 2 12
Direct
0.0000 0.0000 0.2497
0.0000 0.0000 0.7503
0.5000 0.5000 0.2503
0.5000 0.5000 0.7497
0.0000 0.5000 0.0000
0.5000 0.0000 0.5000
0.0000 0.5000 0.5000
0.5000 0.0000 0.0000
0.1609 0.3402 0.5000
0.1866 0.3139 0.1486
0.1866 0.3139 0.8514
0.3134 0.8139 0.3514
0.3134 0.8139 0.6486
0.3391 0.8402 0.0000
0.6609 0.1598 0.0000
0.6866 0.1861 0.3514
0.6866 0.1861 0.6486
0.8134 0.6861 0.1486
0.8134 0.6861 0.8514
0.8391 0.6598 0.5000
```

Starting from a PBE-relaxed structure, the powder diffractogram of Li2RhC2O6 was calculated for λ = 1.5418 Å (Cu Kα).

Most intense lines, 15 to 90 degrees two-theta, by angle:
2θ/deg	intensity
21.0	42
25.7	100
36.7	72
39.8	39
45.4	21
47.9	20
50.3	18
52.8	15
59.7	19
66.1	23

Structural model:
```
Li2RhC2O6
1.0
4.8933 0.0000 0.0000
-2.4467 4.2378 0.0000
0.0000 0.0000 6.0167
Li Rh C O
2 1 2 6
Direct
0.3333 0.6667 0.2787
0.6667 0.3333 0.7213
0.0000 0.0000 0.0000
0.3333 0.6667 0.7858
0.6667 0.3333 0.2142
0.0761 0.6831 0.7834
0.3169 0.3929 0.7834
0.3929 0.0761 0.2166
0.6071 0.9239 0.7834
0.6831 0.6071 0.2166
0.9239 0.3169 0.2166
```